Simulated powder X-ray diffraction pattern
Compound: GdFe4Ir
Radiation: Cu Kα (weighted mean of Kα1 and Kα2)
Structure: the PBE geometry in Alexandria

Top 8 peaks for 15 to 90 degrees two-theta, by angle:
d 4.073, 2θ 21.8, I 22.1; d 2.494, 2θ 36.0, I 71.9; d 2.127, 2θ 42.5, I 100.0; d 2.037, 2θ 44.5, I 12.4; d 1.440, 2θ 64.7, I 26.4; d 1.358, 2θ 69.2, I 30.3; d 1.247, 2θ 76.4, I 21.6; d 1.115, 2θ 87.4, I 12.0

```
GdFe4Ir
1.0
0.0000 3.5274 3.5274
3.5274 0.0000 3.5274
3.5274 3.5274 0.0000
Gd Fe Ir
1 4 1
Direct
0.0000 0.0000 0.0000
0.3756 0.3756 0.3756
0.3756 0.3756 0.8731
0.3756 0.8731 0.3756
0.8731 0.3756 0.3756
0.7500 0.7500 0.7500
```